No. 1
Structure and simulated XRD peak list of NaFeCSO7 (a DFT-relaxed cell (PBE+U, the Materials Project); Cu Kα, 1.54184 Å).

Lattice parameters (Å, degrees): 5.304 6.592 9.126 90.00 91.90 90.00
Space group P2_1 (No. 4)
Inequivalent atoms, fractional coordinates:
Na 0.234 0.000 0.284 x2
Fe 0.221 0.220 0.841 x2
C 0.275 0.250 0.578 x2
S 0.274 0.733 0.932 x2
O 0.052 0.247 0.641 x2
O 0.138 0.747 0.073 x2
O 0.194 0.552 0.847 x2
O 0.218 0.913 0.840 x2
O 0.308 0.243 0.445 x2
O 0.447 0.222 0.032 x2
O 0.462 0.254 0.681 x2

Main lines, in order of rising 2θ (2θ = 5–70°):
- (0 0 1), 9.70 deg, d 9.121, intensity 100
- (0 1 1), 16.59 deg, d 5.343, intensity 49
- (1 0 -1), 19.08 deg, d 4.651, intensity 22
- (1 0 1), 19.65 deg, d 4.519, intensity 25
- (1 1 0), 21.51 deg, d 4.131, intensity 19
- (1 1 1), 23.87 deg, d 3.727, intensity 22
- (1 0 -2), 25.34 deg, d 3.515, intensity 35
- (1 0 2), 26.20 deg, d 3.402, intensity 14
- (0 2 0), 27.05 deg, d 3.296, intensity 43
- (1 0 -3), 33.52 deg, d 2.674, intensity 15
- (2 0 0), 33.82 deg, d 2.650, intensity 17
- (1 1 3), 37.17 deg, d 2.419, intensity 14



No. 2
Structure and simulated XRD peak list of Ta2CrNO5 (a DFT-relaxed cell (PBE+U, the Materials Project); Cu Kα, 1.54184 Å).

Lattice parameters (Å, degrees): 4.762 4.763 9.249 89.83 89.92 89.70
Space group P1 (No. 1)
Inequivalent atoms, fractional coordinates:
Ta 0.000 0.000 0.000 x1
Ta 0.009 0.013 0.325 x1
Ta 0.501 0.516 0.501 x1
Ta 0.512 0.526 0.843 x1
Cr 0.499 0.526 0.164 x1
Cr 0.997 0.028 0.663 x1
N 0.196 0.830 0.166 x1
N 0.695 0.724 0.995 x1
O 0.194 0.830 0.496 x1
O 0.197 0.832 0.829 x1
O 0.299 0.331 0.659 x1
O 0.300 0.329 0.338 x1
O 0.300 0.331 0.993 x1
O 0.690 0.720 0.662 x1
O 0.695 0.723 0.337 x1
O 0.798 0.225 0.498 x1
O 0.804 0.226 0.829 x1
O 0.809 0.221 0.166 x1

Main lines, in order of rising 2θ (2θ = 5–70°):
- (0 0 2), 19.19 deg, d 4.625, intensity 12
- (0 1 -1), 20.98 deg, d 4.233, intensity 38
- (1 1 0), 26.40 deg, d 3.376, intensity 64
- (1 -1 0), 26.54 deg, d 3.359, intensity 63
- (1 0 3), 34.66 deg, d 2.588, intensity 100
- (2 0 0), 37.78 deg, d 2.381, intensity 31
- (2 1 3), 52.05 deg, d 1.757, intensity 20
- (2 1 -3), 52.24 deg, d 1.751, intensity 50
- (2 2 0), 54.35 deg, d 1.688, intensity 10
- (3 0 3), 66.15 deg, d 1.413, intensity 11
- (3 0 -3), 66.28 deg, d 1.410, intensity 12
- (1 1 -6), 66.78 deg, d 1.401, intensity 14



No. 3
Structure and simulated XRD peak list of Na4CaFe4P6O24 (a DFT-relaxed cell (PBE+U, the Materials Project); Cu Kα, 1.54184 Å).

Lattice parameters (Å, degrees): 12.623 14.059 7.215 90.00 116.22 90.00
Space group C2 (No. 5)
Inequivalent atoms, fractional coordinates:
Na 0.000 0.000 0.000 x2
Na 0.000 0.360 0.000 x2
Na 0.033 0.811 0.294 x4
Ca 0.000 0.597 0.500 x2
Fe 0.172 0.210 0.793 x4
Fe 0.212 0.485 0.365 x4
P 0.000 0.384 0.500 x2
P 0.000 0.576 0.000 x2
P 0.116 0.140 0.340 x4
P 0.239 0.193 0.173 x4
O 0.012 0.115 0.748 x4
O 0.015 0.634 0.190 x4
O 0.063 0.322 0.694 x4
O 0.086 0.453 0.461 x4
O 0.111 0.506 0.069 x4
O 0.111 0.864 0.056 x4
O 0.139 0.242 0.251 x4
O 0.140 0.711 0.653 x4
O 0.161 0.918 0.529 x4
O 0.189 0.084 0.235 x4
O 0.193 0.132 0.575 x4
O 0.197 0.810 0.055 x4

Main lines, in order of rising 2θ (2θ = 5–70°):
- (1 1 0), 10.03 deg, d 8.819, intensity 48
- (0 2 0), 12.59 deg, d 7.029, intensity 44
- (2 2 -1), 20.09 deg, d 4.419, intensity 100
- (3 1 0), 24.42 deg, d 3.646, intensity 34
- (1 1 -2), 25.86 deg, d 3.446, intensity 19
- (1 3 1), 26.63 deg, d 3.347, intensity 31
- (3 1 -2), 27.99 deg, d 3.188, intensity 44
- (2 4 0), 29.92 deg, d 2.986, intensity 58
- (0 2 2), 30.41 deg, d 2.940, intensity 96
- (4 2 -1), 31.06 deg, d 2.879, intensity 24
- (1 1 2), 32.59 deg, d 2.748, intensity 22
- (3 1 -3), 38.36 deg, d 2.347, intensity 24



No. 4
Structure and simulated XRD peak list of MgFe4P4O16 (a DFT-relaxed cell (PBE+U, the Materials Project); Cu Kα, 1.54184 Å).

Lattice parameters (Å, degrees): 5.227 8.519 8.811 90.92 91.48 105.70
Space group P-1 (No. 2)
Inequivalent atoms, fractional coordinates:
Mg 0.000 0.000 0.000 x1
Fe 0.101 0.344 0.986 x2
Fe 0.474 0.190 0.495 x2
P 0.082 0.807 0.344 x2
P 0.387 0.747 0.862 x2
O 0.034 0.845 0.177 x2
O 0.182 0.252 0.575 x2
O 0.219 0.866 0.887 x2
O 0.226 0.583 0.934 x2
O 0.248 0.683 0.359 x2
O 0.273 0.959 0.432 x2
O 0.335 0.202 0.056 x2
O 0.423 0.714 0.692 x2

Main lines, in order of rising 2θ (2θ = 5–70°):
- (0 1 -1), 14.58 deg, d 6.074, intensity 35
- (0 1 1), 14.94 deg, d 5.930, intensity 23
- (1 0 -1), 20.06 deg, d 4.427, intensity 34
- (0 0 2), 20.17 deg, d 4.403, intensity 89
- (-1 1 1), 20.57 deg, d 4.319, intensity 100
- (1 -1 1), 20.82 deg, d 4.267, intensity 23
- (0 2 0), 21.68 deg, d 4.099, intensity 95
- (0 1 -2), 22.69 deg, d 3.918, intensity 30
- (0 1 2), 23.16 deg, d 3.841, intensity 26
- (1 1 -2), 30.31 deg, d 2.949, intensity 26
- (1 0 3), 35.90 deg, d 2.501, intensity 25
- (2 -2 0), 36.50 deg, d 2.461, intensity 26



No. 5
Structure and simulated XRD peak list of LiCoPO4 (a DFT-relaxed cell (PBE+U, the Materials Project); Cu Kα, 1.54184 Å).

Lattice parameters (Å, degrees): 5.499 6.259 9.215 76.13 83.68 76.45
Space group P-1 (No. 2)
Inequivalent atoms, fractional coordinates:
Li 0.149 0.488 0.242 x2
Li 0.295 0.653 0.584 x2
Co 0.223 0.835 0.914 x2
Co 0.349 0.954 0.287 x2
P 0.179 0.178 0.576 x2
P 0.305 0.302 0.951 x2
O 0.094 0.727 0.367 x2
O 0.113 0.163 0.935 x2
O 0.166 0.180 0.409 x2
O 0.197 0.545 0.868 x2
O 0.284 0.936 0.672 x2
O 0.348 0.277 0.120 x2
O 0.370 0.319 0.593 x2
O 0.427 0.789 0.115 x2

Main lines, in order of rising 2θ (2θ = 5–70°):
- (0 0 1), 9.90 deg, d 8.931, intensity 46
- (0 1 0), 14.93 deg, d 5.934, intensity 99
- (0 1 2), 22.10 deg, d 4.022, intensity 44
- (1 1 -1), 24.08 deg, d 3.696, intensity 22
- (1 0 2), 25.26 deg, d 3.525, intensity 35
- (0 2 2), 32.32 deg, d 2.770, intensity 38
- (1 -1 2), 33.43 deg, d 2.680, intensity 28
- (2 1 1), 33.62 deg, d 2.666, intensity 100
- (1 2 -1), 35.12 deg, d 2.555, intensity 36
- (1 0 -3), 35.35 deg, d 2.539, intensity 35
- (1 -3 0), 52.71 deg, d 1.737, intensity 16
- (3 2 -1), 57.10 deg, d 1.613, intensity 16



No. 6
Structure and simulated XRD peak list of Ba2La3Ti2Cr3O15 (a DFT-relaxed cell (PBE+U, the Materials Project); Cu Kα, 1.54184 Å).

Lattice parameters (Å, degrees): 5.644 27.903 3.970 90.00 90.00 90.00
Space group Cmmm (No. 65)
Inequivalent atoms, fractional coordinates:
Ba 0.000 0.198 0.000 x4
La 0.000 0.000 0.000 x2
La 0.000 0.403 0.000 x4
Ti 0.000 0.302 0.500 x4
Cr 0.000 0.099 0.500 x4
Cr 0.000 0.500 0.500 x2
O 0.000 0.095 0.000 x4
O 0.000 0.304 0.000 x4
O 0.000 0.500 0.000 x2
O 0.235 0.353 0.500 x8
O 0.249 0.451 0.500 x8
O 0.250 0.250 0.500 x4

Main lines, in order of rising 2θ (2θ = 5–70°):
- (1 5 0), 22.40 deg, d 3.969, intensity 26
- (2 0 0), 31.71 deg, d 2.822, intensity 26
- (1 5 1), 31.89 deg, d 2.806, intensity 100
- (0 10 0), 32.08 deg, d 2.790, intensity 24
- (2 0 1), 39.17 deg, d 2.300, intensity 17
- (0 10 1), 39.47 deg, d 2.283, intensity 17
- (0 0 2), 45.72 deg, d 1.984, intensity 50
- (3 5 1), 56.60 deg, d 1.626, intensity 19
- (2 0 2), 56.70 deg, d 1.623, intensity 10
- (0 10 2), 56.93 deg, d 1.617, intensity 9
- (1 15 1), 57.06 deg, d 1.614, intensity 18
- (2 10 2), 66.65 deg, d 1.403, intensity 19